Computed XRD peak list of CaEuAlBiO6 for λ = 1.5418 Å (Cu Kα), from a cell relaxed with PBE.
No peak broadening, texture or thermal motion is included.

Cell and atoms:
abc: 8.0235 8.0235 8.0235
angles: 90.00 90.00 90.00
Space group F-43m (No. 216)
One atom of each set of equivalent atoms:
Ca 0.0000 0.0000 0.0000 [4 per cell]
Eu 0.0000 0.0000 0.5000 [4 per cell]
Al 0.2500 0.2500 0.2500 [4 per cell]
Bi 0.2500 0.2500 0.7500 [4 per cell]
O 0.0130 0.2500 0.2500 [24 per cell]

Peak list (10 most intense, 5° ≤ 2θ ≤ 70°, low angle first)
| h k l | two_theta | intensity |
| --- | --- | --- |
| 1 1 1 | 19.16 | 56 |
| 2 0 0 | 22.16 | 4 |
| 2 2 0 | 31.54 | 100 |
| 3 1 1 | 37.17 | 38 |
| 4 0 0 | 45.20 | 32 |
| 3 3 1 | 49.52 | 18 |
| 4 2 2 | 56.16 | 40 |
| 3 3 3 | 59.90 | 12 |
| 4 4 0 | 65.85 | 19 |
| 5 3 1 | 69.28 | 12 |

***

Computed XRD peak list of LiPrAg2 for λ = 1.5418 Å (Cu Kα), from a cell relaxed with PBE.
No peak broadening, texture or thermal motion is included.

Cell and atoms:
abc: 7.7801 7.5866 5.7942
angles: 90.00 90.00 90.00
Space group Pnma (No. 62)
One atom of each set of equivalent atoms:
Li 0.1179 0.2500 0.1478 [4 per cell]
Pr 0.0366 0.7500 0.3634 [4 per cell]
Ag 0.1769 0.5566 0.9112 [8 per cell]

Peak list (10 most intense, 5° ≤ 2θ ≤ 70°, low angle first)
| h k l | two_theta | intensity |
| --- | --- | --- |
| 2 1 0 | 25.74 | 28 |
| 2 1 1 | 30.07 | 38 |
| 1 2 1 | 30.42 | 59 |
| 2 2 0 | 32.99 | 100 |
| 1 1 2 | 35.11 | 51 |
| 2 2 1 | 36.54 | 24 |
| 3 0 1 | 38.01 | 47 |
| 0 3 1 | 38.86 | 28 |
| 1 3 1 | 40.62 | 35 |
| 3 3 2 | 60.28 | 39 |

***

Computed XRD peak list of CsLi2Cl3 for λ = 1.5418 Å (Cu Kα), from a cell relaxed with PBE.
No peak broadening, texture or thermal motion is included.

Cell and atoms:
abc: 12.7552 7.4300 6.9315
angles: 90.00 90.00 90.00
Space group Pbcn (No. 60)
One atom of each set of equivalent atoms:
Cs 0.0000 0.2018 0.2500 [4 per cell]
Li 0.1829 0.3490 0.7419 [8 per cell]
Cl 0.0000 0.3005 0.7500 [4 per cell]
Cl 0.2435 0.3937 0.0645 [8 per cell]

Peak list (10 most intense, 5° ≤ 2θ ≤ 70°, low angle first)
| h k l | two_theta | intensity |
| --- | --- | --- |
| 2 0 0 | 13.87 | 50 |
| 1 1 1 | 18.84 | 92 |
| 3 1 1 | 27.38 | 47 |
| 2 2 0 | 27.79 | 58 |
| 4 0 0 | 27.98 | 71 |
| 2 0 2 | 29.33 | 100 |
| 2 2 1 | 30.69 | 53 |
| 0 2 2 | 35.42 | 30 |
| 2 2 2 | 38.22 | 31 |
| 0 2 3 | 46.31 | 30 |

***

Computed XRD peak list of Rb3Sm3TiO8 for λ = 1.5418 Å (Cu Kα), from a cell relaxed with PBE.
No peak broadening, texture or thermal motion is included.

Cell and atoms:
abc: 6.9275 6.9275 19.8708
angles: 90.00 90.00 120.00
Space group R-3m (No. 166, hexagonal axes)
One atom of each set of equivalent atoms:
Rb 0.0000 0.5000 0.0000 [9 per cell]
Sm 0.0000 0.5000 0.5000 [9 per cell]
Ti 0.0000 0.0000 0.5000 [3 per cell]
O 0.0000 0.0000 0.2260 [6 per cell]
O 0.0405 0.5202 0.2208 [18 per cell]

Peak list (10 most intense, 5° ≤ 2θ ≤ 70°, low angle first)
| h k l | two_theta | intensity |
| --- | --- | --- |
| 0 0 3 | 13.37 | 45 |
| 0 1 2 | 17.27 | 26 |
| 0 0 6 | 26.92 | 43 |
| 2 0 2 | 31.14 | 75 |
| 0 2 4 | 34.94 | 100 |
| 0 2 7 | 43.90 | 15 |
| 2 0 8 | 47.53 | 34 |
| 2 2 0 | 52.86 | 30 |
| 0 2 10 | 55.47 | 27 |
| 2 2 6 | 60.31 | 28 |

***

Computed XRD peak list of Tb4ThGe4 for λ = 1.5418 Å (Cu Kα), from a cell relaxed with PBE.
No peak broadening, texture or thermal motion is included.

Cell and atoms:
abc: 9.3335 9.3335 5.8359
angles: 90.00 90.00 90.00
Space group I4/m (No. 87)
One atom of each set of equivalent atoms:
Tb 0.1019 0.6937 0.0000 [8 per cell]
Th 0.0000 0.0000 0.5000 [2 per cell]
Ge 0.1045 0.7013 0.5000 [8 per cell]

Peak list (10 most intense, 5° ≤ 2θ ≤ 70°, low angle first)
| h k l | two_theta | intensity |
| --- | --- | --- |
| 1 0 1 | 17.93 | 12 |
| 1 2 1 | 26.25 | 68 |
| 3 1 0 | 30.28 | 100 |
| 0 0 2 | 30.64 | 49 |
| 2 4 0 | 43.36 | 37 |
| 3 1 2 | 43.62 | 74 |
| 5 0 1 | 51.39 | 22 |
| 1 2 3 | 51.85 | 11 |
| 2 4 2 | 54.02 | 39 |
| 6 2 0 | 62.99 | 13 |

***

Computed XRD peak list of K4Cd for λ = 1.5418 Å (Cu Kα), from a cell relaxed with PBE.
No peak broadening, texture or thermal motion is included.

Cell and atoms:
abc: 8.5636 14.5672 5.1975
angles: 90.00 107.35 90.00
Space group P2/c (No. 13)
One atom of each set of equivalent atoms:
K 0.2198 0.1344 0.1105 [4 per cell]
K 0.2366 0.3754 0.6174 [4 per cell]
Cd 0.5000 0.0554 0.7500 [2 per cell]

Peak list (10 most intense, 5° ≤ 2θ ≤ 70°, low angle first)
| h k l | two_theta | intensity |
| --- | --- | --- |
| 0 1 0 | 6.07 | 100 |
| 1 0 0 | 10.82 | 23 |
| 1 1 0 | 12.42 | 43 |
| 1 2 0 | 16.30 | 18 |
| 1 3 -1 | 25.69 | 18 |
| 1 2 1 | 26.62 | 32 |
| 2 2 -1 | 26.74 | 33 |
| 3 0 0 | 32.92 | 19 |
| 1 0 -2 | 34.54 | 21 |
| 1 6 -1 | 41.42 | 17 |